No. 1
Computed powder X-ray diffraction pattern
Compound: Tm3Te2Pd
Radiation: Cu Kα, 1.54184 Å
Structure: a crystal structure in Alexandria, relaxed with PBE

Crystal structure
```
Tm3Te2Pd
1.0
0.0000 6.0278 12.5438
4.3325 0.0000 12.5438
4.3325 6.0278 0.0000
Tm Te Pd
12 8 4
Cartesian
3.1009 1.3230 7.1505
5.6872 4.5208 9.4079
3.3979 1.3230 11.6652
5.5642 4.3369 13.4224
7.8534 7.5347 15.6798
5.2672 4.3369 17.9372
3.3979 7.7186 7.1505
0.8117 4.5208 9.4079
3.1009 7.7186 11.6652
5.2672 10.7325 13.4224
2.9779 7.5347 15.6798
5.5642 10.7325 17.9372
3.2494 4.5208 3.2746
3.2494 4.5208 7.4264
5.4157 7.5347 9.5465
3.2494 4.5208 11.3894
5.4157 7.5347 13.6983
3.2494 4.5208 15.5412
5.4157 7.5347 17.6613
5.4157 7.5347 21.8131
1.0831 1.5069 1.0483
1.0831 1.5069 5.2236
7.5820 10.5486 19.8641
7.5820 10.5486 24.0393
```

Top 10 peaks for 10 to 90 degrees two-theta, low angle first:
two_theta, I (rel.)
29.7, 100
41.7, 12
42.5, 47
43.3, 11
52.0, 12
53.3, 12
61.7, 6
69.8, 18
76.6, 6
78.8, 6

***

No. 2
Computed powder X-ray diffraction pattern
Compound: Tm4Te3Pd
Radiation: Cu Kα, 1.54184 Å
Structure: a crystal structure in Alexandria, relaxed with PBE

Crystal structure
```
Tm4Te3Pd
1.0
7.5855 0.0000 0.0000
0.0000 8.5943 0.0000
-2.3524 0.0000 6.8561
Tm Te Pd
8 6 2
Cartesian
1.6262 0.9730 0.0628
0.4500 7.6213 3.4909
0.6257 2.9494 3.2615
-0.5506 5.6448 6.6896
5.7836 2.9494 0.1666
4.6074 5.6448 3.5946
4.7831 0.9730 3.3652
3.6069 7.6213 6.7933
-1.7643 3.3025 5.1421
-0.5881 5.2918 1.7140
2.0284 1.0643 5.1421
3.2047 3.3509 1.7140
2.0284 5.2434 5.1421
3.2047 7.5300 1.7140
-0.5881 0.9714 1.7140
-1.7643 7.6229 5.1421
```

Top 10 peaks for 10 to 90 degrees two-theta, low angle first:
two_theta, I (rel.)
29.4, 100
29.6, 49
41.4, 35
41.9, 18
42.1, 16
42.9, 34
50.9, 10
52.3, 16
53.5, 9
60.9, 10

***

No. 3
Computed powder X-ray diffraction pattern
Compound: Tm3TePd12
Radiation: Cu Kα, 1.54184 Å
Structure: a crystal structure in Alexandria, relaxed with PBE

Crystal structure
```
Tm3TePd12
1.0
4.0868 0.0000 0.0000
0.0000 4.0868 0.0000
0.0000 0.0000 16.3998
Tm Te Pd
3 1 12
Cartesian
0.0000 0.0000 0.0000
0.0000 0.0000 4.0571
0.0000 0.0000 12.3426
0.0000 0.0000 8.1999
0.0000 2.0434 2.0560
0.0000 2.0434 6.1801
0.0000 2.0434 10.2197
0.0000 2.0434 14.3438
2.0434 0.0000 2.0560
2.0434 0.0000 6.1801
2.0434 0.0000 10.2197
2.0434 0.0000 14.3438
2.0434 2.0434 0.0000
2.0434 2.0434 4.1489
2.0434 2.0434 8.1999
2.0434 2.0434 12.2509
```

Top 10 peaks for 10 to 90 degrees two-theta, low angle first:
two_theta, I (rel.)
21.7, 3
30.9, 3
38.1, 100
44.2, 16
44.3, 33
64.4, 21
64.5, 10
77.2, 12
77.4, 25
81.5, 11